Diffraction record for Tb2TmSe4. The powder XRD pattern is computed, not measured: it uses a DFT-relaxed cell (GGA-PBE, Alexandria) and Cu Kα.

Crystal structure
Lattice parameters (Å, degrees): 8.076 8.076 8.076 119.41 119.37 91.05
Atoms (fractional coordinates):
Tb1 0.000 0.000 0.000
Tb2 0.500 0.000 0.000
Tb3 0.500 0.000 0.500
Tb4 0.500 0.500 0.500
Tm1 0.000 0.000 0.500
Tm2 0.000 0.500 0.000
Se1 0.239 0.743 0.496
Se2 0.248 0.247 0.499
Se3 0.248 0.748 0.001
Se4 0.253 0.257 0.996
Se5 0.747 0.743 0.004
Se6 0.752 0.252 0.999
Se7 0.752 0.753 0.501
Se8 0.761 0.257 0.504

Largest 6 diffraction maxima, low angle first, 2θ from 15° to 90°:
2θ = 31.04°, 2.881 Å, I = 100; 2θ = 31.63°, 2.829 Å, I = 47; 2θ = 44.46°, 2.038 Å, I = 37; 2θ = 44.90°, 2.019 Å, I = 71; 2θ = 55.59°, 1.653 Å, I = 38; 2θ = 82.20°, 1.173 Å, I = 25